[1]
RbPuS2O8: theoretical powder X-ray diffraction pattern (Cu Kα), based on a GGA-PBE-relaxed structure.
Intensities are scaled so that the largest is 100.

Crystal structure
```
data_RbPuS2O8
_chemical_formula_sum 'Rb1 Pu1 S2 O8'
_cell_length_a 5.5838
_cell_length_b 5.5838
_cell_length_c 8.4056
_cell_angle_alpha 90.00
_cell_angle_beta 90.00
_cell_angle_gamma 120.00
_symmetry_space_group_name_H-M 'P -3 m 1'
_symmetry_Int_Tables_number 164
_symmetry_space_group_name_Hall '-P 3 2"'
loop_
_atom_site_label
_atom_site_type_symbol
_atom_site_fract_x
_atom_site_fract_y
_atom_site_fract_z
Rb1 Rb 0.0000 0.0000 0.0000
Pu1 Pu 0.0000 0.0000 0.5000
S1 S 0.3333 0.6667 0.2629
O1 O 0.1883 0.3765 0.3265
O2 O 0.3333 0.6667 0.0898
```

Peak list (10 most intense, 10° ≤ 2θ ≤ 90°, by angle)
| d (Å) | Position (°2θ) | intensity | (hkl) |
| --- | --- | --- | --- |
| 8.406 | 10.5 | 37 | 0 0 1 |
| 4.836 | 18.3 | 82 | 1 0 0 |
| 4.193 | 21.2 | 75 | 1 0 1 |
| 3.172 | 28.1 | 100 | 1 0 2 |
| 2.792 | 32.1 | 46 | 1 1 0 |
| 2.325 | 38.7 | 36 | 1 1 2 |
| 2.096 | 43.2 | 38 | 2 0 2 |
| 1.829 | 49.9 | 24 | 2 1 0 |
| 1.676 | 54.8 | 28 | 1 2 2 |
| 1.278 | 74.2 | 21 | 3 0 4 |

[2]
Rb2PuScO4: theoretical powder X-ray diffraction pattern (Cu Kα), based on a GGA-PBE-relaxed structure.
Intensities are scaled so that the largest is 100.

Crystal structure
```
data_Rb2PuScO4
_chemical_formula_sum 'Rb2 Pu1 Sc1 O4'
_cell_length_a 5.9669
_cell_length_b 3.4582
_cell_length_c 6.8023
_cell_angle_alpha 90.00
_cell_angle_beta 106.83
_cell_angle_gamma 90.00
_symmetry_space_group_name_H-M 'P 1 2/m 1'
_symmetry_Int_Tables_number 10
loop_
_symmetry_equiv_pos_as_xyz
'x,y,z'
'-x,-y,-z'
'-x,y,-z'
'x,-y,z'
loop_
_atom_site_label
_atom_site_type_symbol
_atom_site_fract_x
_atom_site_fract_y
_atom_site_fract_z
Rb1 Rb 0.0000 0.0000 0.0000
Rb2 Rb 0.5000 0.5000 0.0000
Pu1 Pu 0.0000 0.5000 0.5000
Sc1 Sc 0.5000 0.0000 0.5000
O1 O 0.2415 0.0000 0.6726
O2 O 0.2909 0.5000 0.3291
```

Peak list (10 most intense, 10° ≤ 2θ ≤ 90°, by angle)
| d (Å) | Position (°2θ) | intensity | (hkl) |
| --- | --- | --- | --- |
| 6.511 | 13.6 | 30 | 0 0 1 |
| 5.711 | 15.5 | 36 | 1 0 0 |
| 5.085 | 17.4 | 30 | 1 0 -1 |
| 3.257 | 27.4 | 65 | 0 0 2 |
| 2.858 | 31.3 | 100 | 2 0 0 |
| 2.553 | 35.2 | 83 | 1 1 1 |
| 2.543 | 35.3 | 41 | 2 0 -2 |
| 1.891 | 48.1 | 44 | 2 0 2 |
| 1.724 | 53.1 | 25 | 3 1 -1 |
| 1.637 | 56.2 | 21 | 1 1 3 |

[3]
Rb3Pu2ScO9: theoretical powder X-ray diffraction pattern (Cu Kα), based on a GGA-PBE-relaxed structure.
Intensities are scaled so that the largest is 100.

Crystal structure
```
data_Rb3Pu2ScO9
_chemical_formula_sum 'Rb3 Pu2 Sc1 O9'
_cell_length_a 5.9995
_cell_length_b 5.9995
_cell_length_c 7.3616
_cell_angle_alpha 90.00
_cell_angle_beta 90.00
_cell_angle_gamma 120.00
_symmetry_space_group_name_H-M 'P -3 m 1'
_symmetry_Int_Tables_number 164
_symmetry_space_group_name_Hall '-P 3 2"'
loop_
_atom_site_label
_atom_site_type_symbol
_atom_site_fract_x
_atom_site_fract_y
_atom_site_fract_z
Rb1 Rb 0.0000 0.0000 0.0000
Rb2 Rb 0.3333 0.6667 0.6621
Pu1 Pu 0.3333 0.6667 0.1721
Sc1 Sc 0.0000 0.0000 0.5000
O1 O 0.0000 0.5000 0.0000
O2 O 0.1706 0.3412 0.3289
```

Peak list (10 most intense, 10° ≤ 2θ ≤ 90°, by angle)
| d (Å) | Position (°2θ) | intensity | (hkl) |
| --- | --- | --- | --- |
| 5.196 | 17.1 | 12 | 1 0 0 |
| 4.245 | 20.9 | 30 | 1 0 1 |
| 3.002 | 29.8 | 100 | 1 1 0 |
| 2.122 | 42.6 | 31 | 2 0 2 |
| 1.898 | 47.9 | 11 | 2 1 1 |
| 1.733 | 52.8 | 42 | 3 0 0 |
| 1.501 | 61.8 | 19 | 2 2 0 |
| 1.342 | 70.1 | 19 | 3 1 2 |
| 1.135 | 85.6 | 11 | 1 3 4 |
| 1.134 | 85.7 | 11 | 4 1 0 |

[4]
Rb3TbPu2O9: theoretical powder X-ray diffraction pattern (Cu Kα), based on a GGA-PBE-relaxed structure.
Intensities are scaled so that the largest is 100.

Crystal structure
```
data_Rb3TbPu2O9
_chemical_formula_sum 'Rb3 Tb1 Pu2 O9'
_cell_length_a 6.1206
_cell_length_b 6.1206
_cell_length_c 7.5055
_cell_angle_alpha 90.00
_cell_angle_beta 90.00
_cell_angle_gamma 120.00
_symmetry_space_group_name_H-M 'P -3 m 1'
_symmetry_Int_Tables_number 164
_symmetry_space_group_name_Hall '-P 3 2"'
loop_
_atom_site_label
_atom_site_type_symbol
_atom_site_fract_x
_atom_site_fract_y
_atom_site_fract_z
Rb1 Rb 0.0000 0.0000 0.0000
Rb2 Rb 0.3333 0.6667 0.6625
Tb1 Tb 0.0000 0.0000 0.5000
Pu1 Pu 0.3333 0.6667 0.1641
O1 O 0.0000 0.5000 0.0000
O2 O 0.1762 0.3523 0.3202
```

Peak list (10 most intense, 10° ≤ 2θ ≤ 90°, by angle)
| d (Å) | Position (°2θ) | intensity | (hkl) |
| --- | --- | --- | --- |
| 4.330 | 20.5 | 30 | 1 0 1 |
| 3.062 | 29.2 | 100 | 1 1 0 |
| 2.165 | 41.7 | 29 | 2 0 2 |
| 1.936 | 46.9 | 14 | 2 1 1 |
| 1.768 | 51.7 | 42 | 3 0 0 |
| 1.531 | 60.5 | 18 | 2 2 0 |
| 1.443 | 64.6 | 7 | 3 0 3 |
| 1.369 | 68.5 | 19 | 3 1 2 |
| 1.250 | 76.2 | 6 | 0 4 2 |
| 1.157 | 83.5 | 17 | 2 3 2 |

[5]
Rb2Pu3TiO12: theoretical powder X-ray diffraction pattern (Cu Kα), based on a GGA-PBE-relaxed structure.
Intensities are scaled so that the largest is 100.

Crystal structure
```
data_Rb2Pu3TiO12
_chemical_formula_sum 'Rb6 Pu9 Ti3 O36'
_cell_length_a 7.8097
_cell_length_b 7.8097
_cell_length_c 17.9002
_cell_angle_alpha 90.00
_cell_angle_beta 90.00
_cell_angle_gamma 120.00
_symmetry_space_group_name_H-M 'R -3 m'
_symmetry_Int_Tables_number 166
_symmetry_space_group_name_Hall '-R 3 2"'
loop_
_atom_site_label
_atom_site_type_symbol
_atom_site_fract_x
_atom_site_fract_y
_atom_site_fract_z
Rb1 Rb 0.0000 0.0000 0.1328
Pu1 Pu 0.0000 0.5000 0.0000
Ti1 Ti 0.0000 0.0000 0.5000
O1 O 0.0791 0.5396 0.3622
O2 O 0.0912 0.5456 0.1057
```

Peak list (10 most intense, 10° ≤ 2θ ≤ 90°, by angle)
| d (Å) | Position (°2θ) | intensity | (hkl) |
| --- | --- | --- | --- |
| 6.327 | 14.0 | 37 | 1 0 1 |
| 5.967 | 14.8 | 66 | 0 0 3 |
| 3.323 | 26.8 | 96 | 0 2 1 |
| 3.267 | 27.3 | 59 | 1 1 3 |
| 3.164 | 28.2 | 100 | 2 0 2 |
| 2.983 | 30.0 | 25 | 0 0 6 |
| 2.458 | 36.6 | 26 | 2 0 5 |
| 1.952 | 46.5 | 36 | 2 2 0 |
| 1.866 | 48.8 | 34 | 2 0 8 |
| 1.634 | 56.3 | 28 | 2 2 6 |

[6]
Rb2Tm2PuO6: theoretical powder X-ray diffraction pattern (Cu Kα), based on a GGA-PBE-relaxed structure.
Intensities are scaled so that the largest is 100.

Crystal structure
```
data_Rb2Tm2PuO6
_chemical_formula_sum 'Rb4 Tm4 Pu2 O12'
_cell_length_a 5.9617
_cell_length_b 10.3265
_cell_length_c 6.9754
_cell_angle_alpha 90.00
_cell_angle_beta 106.87
_cell_angle_gamma 90.00
_symmetry_space_group_name_H-M 'C 1 2/m 1'
_symmetry_Int_Tables_number 12
loop_
_symmetry_equiv_pos_as_xyz
'x,y,z'
'-x,-y,-z'
'-x,y,-z'
'x,-y,z'
'x+1/2,y+1/2,z'
'-x+1/2,-y+1/2,-z'
'-x+1/2,y+1/2,-z'
'x+1/2,-y+1/2,z'
loop_
_atom_site_label
_atom_site_type_symbol
_atom_site_fract_x
_atom_site_fract_y
_atom_site_fract_z
Rb1 Rb 0.0000 0.1686 0.0000
Tm1 Tm 0.0000 0.3341 0.5000
Pu1 Pu 0.0000 0.0000 0.5000
O1 O 0.2183 0.1681 0.6636
O2 O 0.2304 0.5000 0.6626
```

Peak list (10 most intense, 10° ≤ 2θ ≤ 90°, by angle)
| d (Å) | Position (°2θ) | intensity | (hkl) |
| --- | --- | --- | --- |
| 6.675 | 13.3 | 100 | 0 0 1 |
| 3.338 | 26.7 | 47 | 0 0 2 |
| 2.948 | 30.3 | 30 | 1 3 0 |
| 2.857 | 31.3 | 82 | 2 0 0 |
| 2.567 | 35.0 | 35 | 2 0 -2 |
| 2.558 | 35.1 | 65 | 1 3 1 |
| 1.920 | 47.4 | 25 | 1 3 -3 |
| 1.721 | 53.2 | 31 | 0 6 0 |
| 1.668 | 55.1 | 25 | 2 0 -4 |
| 1.660 | 55.3 | 15 | 1 3 3 |

[7]
Rb2TmPuO4: theoretical powder X-ray diffraction pattern (Cu Kα), based on a GGA-PBE-relaxed structure.
Intensities are scaled so that the largest is 100.

Crystal structure
```
data_Rb2TmPuO4
_chemical_formula_sum 'Rb2 Tm1 Pu1 O4'
_cell_length_a 6.1305
_cell_length_b 3.5302
_cell_length_c 6.8592
_cell_angle_alpha 90.00
_cell_angle_beta 107.27
_cell_angle_gamma 90.00
_symmetry_space_group_name_H-M 'P 1 2/m 1'
_symmetry_Int_Tables_number 10
loop_
_symmetry_equiv_pos_as_xyz
'x,y,z'
'-x,-y,-z'
'-x,y,-z'
'x,-y,z'
loop_
_atom_site_label
_atom_site_type_symbol
_atom_site_fract_x
_atom_site_fract_y
_atom_site_fract_z
Rb1 Rb 0.0000 0.0000 0.0000
Rb2 Rb 0.5000 0.5000 0.0000
Tm1 Tm 0.0000 0.5000 0.5000
Pu1 Pu 0.5000 0.0000 0.5000
O1 O 0.2155 0.0000 0.6746
O2 O 0.2673 0.5000 0.3258
```

Peak list (10 most intense, 10° ≤ 2θ ≤ 90°, by angle)
| d (Å) | Position (°2θ) | intensity | (hkl) |
| --- | --- | --- | --- |
| 6.550 | 13.5 | 52 | 0 0 1 |
| 3.275 | 27.2 | 44 | 0 0 2 |
| 3.025 | 29.5 | 18 | 2 0 -1 |
| 2.923 | 30.6 | 90 | 2 0 0 |
| 2.598 | 34.5 | 100 | 1 1 1 |
| 1.916 | 47.5 | 36 | 1 1 -3 |
| 1.769 | 51.7 | 21 | 3 1 -1 |
| 1.654 | 55.6 | 22 | 1 1 3 |
| 1.556 | 59.4 | 21 | 3 1 1 |
| 1.460 | 63.7 | 11 | 2 2 -2 |

[8]
Rb4Pu3UO12: theoretical powder X-ray diffraction pattern (Cu Kα), based on a GGA-PBE-relaxed structure.
Intensities are scaled so that the largest is 100.

Crystal structure
```
data_Rb4Pu3UO12
_chemical_formula_sum 'Rb8 Pu6 U2 O24'
_cell_length_a 8.6676
_cell_length_b 8.6676
_cell_length_c 8.6676
_cell_angle_alpha 90.00
_cell_angle_beta 90.00
_cell_angle_gamma 90.00
_symmetry_space_group_name_H-M 'I m -3 m'
_symmetry_Int_Tables_number 229
_symmetry_space_group_name_Hall '-I 4 2 3'
loop_
_atom_site_label
_atom_site_type_symbol
_atom_site_fract_x
_atom_site_fract_y
_atom_site_fract_z
Rb1 Rb 0.2500 0.2500 0.2500
Pu1 Pu 0.0000 0.0000 0.5000
U1 U 0.0000 0.0000 0.0000
O1 O 0.0000 0.0000 0.2428
O2 O 0.0000 0.2500 0.5000
```

Peak list (10 most intense, 10° ≤ 2θ ≤ 90°, by angle)
| d (Å) | Position (°2θ) | intensity | (hkl) |
| --- | --- | --- | --- |
| 4.334 | 20.5 | 33 | 2 0 0 |
| 3.064 | 29.1 | 100 | 2 2 0 |
| 2.167 | 41.7 | 28 | 4 0 0 |
| 1.938 | 46.9 | 16 | 4 2 0 |
| 1.769 | 51.7 | 42 | 4 2 2 |
| 1.532 | 60.4 | 18 | 4 4 0 |
| 1.445 | 64.5 | 8 | 6 0 0 |
| 1.370 | 68.5 | 19 | 6 2 0 |
| 1.251 | 76.1 | 6 | 4 4 4 |
| 1.158 | 83.5 | 23 | 6 4 2 |